[1]
Diffraction record for NaAlIn. The powder X-ray diffraction pattern is simulated, not measured: it uses a PBE-relaxed structure and Cu Kα (λ = 1.5418 Å).
Kinematic intensities with the Lorentz-polarization factor, no thermal factor.

Structural model:
a b c (Å): 7.6034 7.6034 7.6034
angles (deg): 156.40 156.40 33.62
Atoms (fractional coordinates):
Na 0.0000 0.0000 0.0000
Al 0.3325 0.3325 0.0000
In 0.6800 0.6800 0.0000

Peak list (10 most intense, 2θ = 10–90°, in order of rising 2θ)
2θ 12.16, I = 88
2θ 24.46, I = 18
2θ 29.37, I = 44
2θ 34.25, I = 100
2θ 37.05, I = 19
2θ 41.04, I = 30
2θ 42.53, I = 18
2θ 42.96, I = 16
2θ 56.48, I = 22
2θ 70.42, I = 23


[2]
Diffraction record for Nd3Al3In. The powder X-ray diffraction pattern is simulated, not measured: it uses a PBE-relaxed structure and Cu Kα (λ = 1.5418 Å).
Kinematic intensities with the Lorentz-polarization factor, no thermal factor.

Structural model:
a b c (Å): 6.1888 6.1888 14.8910
angles (deg): 108.19 108.19 43.97
Atoms (fractional coordinates):
Nd 0.0243 0.0243 0.3765
Nd 0.1072 0.1072 0.9252
Nd 0.2385 0.2385 0.2188
Nd 0.7615 0.7615 0.7812
Nd 0.8928 0.8928 0.0748
Nd 0.9757 0.9757 0.6235
Al 0.3763 0.3763 0.4554
Al 0.3965 0.3965 0.9254
Al 0.4736 0.4736 0.7743
Al 0.5264 0.5264 0.2257
Al 0.6035 0.6035 0.0746
Al 0.6237 0.6237 0.5446
In 0.2614 0.2614 0.6087
In 0.7386 0.7386 0.3913

Peak list (10 most intense, 2θ = 10–90°, in order of rising 2θ)
2θ 20.86, I = 49
2θ 30.21, I = 100
2θ 30.36, I = 45
2θ 30.61, I = 76
2θ 30.81, I = 68
2θ 31.21, I = 29
2θ 32.20, I = 29
2θ 34.95, I = 29
2θ 37.14, I = 55
2θ 38.87, I = 56


[3]
Diffraction record for Nd2Al2InPd5. The powder X-ray diffraction pattern is simulated, not measured: it uses a PBE-relaxed structure and Cu Kα (λ = 1.5418 Å).
Kinematic intensities with the Lorentz-polarization factor, no thermal factor.

Structural model:
a b c (Å): 10.5084 10.5084 3.4892
angles (deg): 90.00 90.00 90.00
Atoms (fractional coordinates):
Nd 0.1783 0.3217 0.0000
Nd 0.3217 0.8217 0.0000
Nd 0.6783 0.1783 0.0000
Nd 0.8217 0.6783 0.0000
Al 0.1208 0.6208 0.0000
Al 0.3792 0.1208 0.0000
Al 0.6208 0.8792 0.0000
Al 0.8792 0.3792 0.0000
In 0.0000 0.0000 0.0000
In 0.5000 0.5000 0.0000
Pd 0.0000 0.5000 0.5000
Pd 0.0563 0.7878 0.5000
Pd 0.2122 0.0563 0.5000
Pd 0.2878 0.5563 0.5000
Pd 0.4437 0.2878 0.5000
Pd 0.5000 0.0000 0.5000
Pd 0.5563 0.7122 0.5000
Pd 0.7122 0.4437 0.5000
Pd 0.7878 0.9437 0.5000
Pd 0.9437 0.2122 0.5000

Peak list (10 most intense, 2θ = 10–90°, in order of rising 2θ)
2θ 31.95, I = 42
2θ 35.24, I = 100
2θ 36.27, I = 19
2θ 37.37, I = 88
2θ 38.31, I = 19
2θ 40.32, I = 25
2θ 52.45, I = 18
2θ 58.99, I = 14
2θ 62.54, I = 20
2θ 64.76, I = 21


[4]
Diffraction record for Nd2Al2InRh5. The powder X-ray diffraction pattern is simulated, not measured: it uses a PBE-relaxed structure and Cu Kα (λ = 1.5418 Å).
Kinematic intensities with the Lorentz-polarization factor, no thermal factor.

Structural model:
a b c (Å): 10.0851 10.0851 3.5529
angles (deg): 90.00 90.00 90.00
Atoms (fractional coordinates):
Nd 0.1774 0.3226 0.0000
Nd 0.3226 0.8226 0.0000
Nd 0.6774 0.1774 0.0000
Nd 0.8226 0.6774 0.0000
Al 0.1202 0.6202 0.0000
Al 0.3798 0.1202 0.0000
Al 0.6202 0.8798 0.0000
Al 0.8798 0.3798 0.0000
In 0.0000 0.0000 0.0000
In 0.5000 0.5000 0.0000
Rh 0.0000 0.5000 0.5000
Rh 0.0673 0.7875 0.5000
Rh 0.2125 0.0673 0.5000
Rh 0.2875 0.5673 0.5000
Rh 0.4327 0.2875 0.5000
Rh 0.5000 0.0000 0.5000
Rh 0.5673 0.7125 0.5000
Rh 0.7125 0.4327 0.5000
Rh 0.7875 0.9327 0.5000
Rh 0.9327 0.2125 0.5000

Peak list (10 most intense, 2θ = 10–90°, in order of rising 2θ)
2θ 32.06, I = 52
2θ 35.67, I = 34
2θ 36.74, I = 57
2θ 37.90, I = 100
2θ 39.98, I = 22
2θ 41.07, I = 27
2θ 51.44, I = 19
2θ 64.74, I = 13
2θ 64.87, I = 21
2θ 71.24, I = 12


[5]
Diffraction record for Al4In2O9. The powder X-ray diffraction pattern is simulated, not measured: it uses a PBE-relaxed structure and Cu Kα (λ = 1.5418 Å).
Kinematic intensities with the Lorentz-polarization factor, no thermal factor.

Structural model:
a b c (Å): 5.0673 5.0673 13.7055
angles (deg): 90.00 90.00 120.00
Atoms (fractional coordinates):
Al 0.3333 0.6667 0.1870
Al 0.3333 0.6667 0.4841
Al 0.3333 0.6667 0.6870
Al 0.3333 0.6667 0.9841
Al 0.6667 0.3333 0.0159
Al 0.6667 0.3333 0.3130
Al 0.6667 0.3333 0.5159
Al 0.6667 0.3333 0.8130
In 0.0000 0.0000 0.1397
In 0.0000 0.0000 0.3603
In 0.0000 0.0000 0.6397
In 0.0000 0.0000 0.8603
O 0.0000 0.3356 0.2500
O 0.0000 0.6644 0.7500
O 0.0276 0.3958 0.5798
O 0.0276 0.6318 0.0798
O 0.3356 0.0000 0.2500
O 0.3356 0.3356 0.7500
O 0.3682 0.3958 0.0798
O 0.3682 0.9724 0.5798
O 0.3958 0.0276 0.9202
O 0.3958 0.3682 0.4202
O 0.6042 0.6318 0.5798
O 0.6042 0.9724 0.0798
O 0.6318 0.0276 0.4202
O 0.6318 0.6042 0.9202
O 0.6644 0.0000 0.7500
O 0.6644 0.6644 0.2500
O 0.9724 0.3682 0.9202
O 0.9724 0.6042 0.4202

Peak list (10 most intense, 2θ = 10–90°, in order of rising 2θ)
2θ 20.24, I = 74
2θ 24.08, I = 18
2θ 33.17, I = 100
2θ 35.43, I = 53
2θ 41.14, I = 22
2θ 44.47, I = 23
2θ 49.32, I = 38
2θ 54.05, I = 29
2θ 62.18, I = 34
2θ 63.61, I = 23


[6]
Diffraction record for AlInO3. The powder X-ray diffraction pattern is simulated, not measured: it uses a PBE-relaxed structure and Cu Kα (λ = 1.5418 Å).
Kinematic intensities with the Lorentz-polarization factor, no thermal factor.

Structural model:
a b c (Å): 5.2953 7.4963 5.1120
angles (deg): 90.00 90.00 90.00
Atoms (fractional coordinates):
Al 0.0000 0.0000 0.0000
Al 0.0000 0.5000 0.0000
Al 0.5000 0.0000 0.5000
Al 0.5000 0.5000 0.5000
In 0.0543 0.2500 0.4814
In 0.4457 0.7500 0.9814
In 0.5543 0.2500 0.0186
In 0.9457 0.7500 0.5186
O 0.0445 0.7500 0.1113
O 0.2022 0.5588 0.6989
O 0.2022 0.9412 0.6989
O 0.2978 0.0588 0.1989
O 0.2978 0.4412 0.1989
O 0.4555 0.2500 0.6113
O 0.5445 0.7500 0.3887
O 0.7022 0.5588 0.8011
O 0.7022 0.9412 0.8011
O 0.7978 0.0588 0.3011
O 0.7978 0.4412 0.3011
O 0.9555 0.2500 0.8887

Peak list (10 most intense, 2θ = 10–90°, in order of rising 2θ)
2θ 23.74, I = 28
2θ 24.20, I = 42
2θ 27.00, I = 19
2θ 33.86, I = 19
2θ 34.16, I = 100
2θ 35.11, I = 21
2θ 42.82, I = 21
2θ 49.57, I = 21
2θ 56.51, I = 18
2θ 62.38, I = 22


[7]
Diffraction record for AlIn2O2. The powder X-ray diffraction pattern is simulated, not measured: it uses a PBE-relaxed structure and Cu Kα (λ = 1.5418 Å).
Kinematic intensities with the Lorentz-polarization factor, no thermal factor.

Structural model:
a b c (Å): 5.0195 5.0195 5.0195
angles (deg): 116.05 116.05 96.99
Atoms (fractional coordinates):
Al 0.0000 0.0000 0.0000
In 0.2500 0.7500 0.5000
In 0.7500 0.2500 0.5000
O 0.2563 0.2563 0.0000
O 0.7437 0.7437 0.0000

Peak list (10 most intense, 2θ = 10–90°, in order of rising 2θ)
2θ 23.67, I = 82
2θ 26.80, I = 61
2θ 33.72, I = 100
2θ 36.06, I = 99
2θ 43.59, I = 63
2θ 48.43, I = 34
2θ 54.59, I = 18
2θ 56.21, I = 28
2θ 61.84, I = 42
2θ 66.30, I = 25


[8]
Diffraction record for Al11InO17. The powder X-ray diffraction pattern is simulated, not measured: it uses a PBE-relaxed structure and Cu Kα (λ = 1.5418 Å).
Kinematic intensities with the Lorentz-polarization factor, no thermal factor.

Structural model:
a b c (Å): 5.6533 5.6533 23.0658
angles (deg): 90.00 90.00 120.00
Atoms (fractional coordinates):
Al 0.0000 0.0000 0.0000
Al 0.0000 0.0000 0.5000
Al 0.1673 0.3346 0.1054
Al 0.1673 0.3346 0.3946
Al 0.1673 0.8327 0.1054
Al 0.1673 0.8327 0.3946
Al 0.3333 0.6667 0.5246
Al 0.3333 0.6667 0.6753
Al 0.3333 0.6667 0.8247
Al 0.3333 0.6667 0.9754
Al 0.3346 0.1673 0.6054
Al 0.3346 0.1673 0.8946
Al 0.6654 0.8327 0.1054
Al 0.6654 0.8327 0.3946
Al 0.6667 0.3333 0.0246
Al 0.6667 0.3333 0.1753
Al 0.6667 0.3333 0.3247
Al 0.6667 0.3333 0.4754
Al 0.8327 0.1673 0.6054
Al 0.8327 0.1673 0.8946
Al 0.8327 0.6654 0.6054
Al 0.8327 0.6654 0.8946
In 0.3333 0.6667 0.2500
In 0.6667 0.3333 0.7500
O 0.0000 0.0000 0.1396
O 0.0000 0.0000 0.3604
O 0.0000 0.0000 0.6396
O 0.0000 0.0000 0.8604
O 0.0031 0.5016 0.1439
O 0.0031 0.5016 0.3561
O 0.1571 0.3143 0.5491
O 0.1571 0.3143 0.9509
O 0.1571 0.8429 0.5491
O 0.1571 0.8429 0.9509
O 0.3143 0.1571 0.0491
O 0.3143 0.1571 0.4509
O 0.3333 0.6667 0.0550
O 0.3333 0.6667 0.4450
O 0.3333 0.6667 0.7500
O 0.4984 0.5016 0.1439
O 0.4984 0.5016 0.3561
O 0.4984 0.9969 0.1439
O 0.4984 0.9969 0.3561
O 0.5016 0.0031 0.6439
O 0.5016 0.0031 0.8561
O 0.5016 0.4984 0.6439
O 0.5016 0.4984 0.8561
O 0.6667 0.3333 0.2500
O 0.6667 0.3333 0.5550
O 0.6667 0.3333 0.9450
O 0.6857 0.8429 0.5491
O 0.6857 0.8429 0.9509
O 0.8429 0.1571 0.0491
O 0.8429 0.1571 0.4509
O 0.8429 0.6857 0.0491
O 0.8429 0.6857 0.4509
O 0.9969 0.4984 0.6439
O 0.9969 0.4984 0.8561

Peak list (10 most intense, 2θ = 10–90°, in order of rising 2θ)
2θ 18.53, I = 38
2θ 19.70, I = 74
2θ 31.65, I = 52
2θ 32.76, I = 100
2θ 35.36, I = 86
2θ 41.77, I = 49
2θ 43.85, I = 36
2θ 57.08, I = 46
2θ 57.91, I = 26
2θ 66.11, I = 49


[9]
Diffraction record for AlInTcO6. The powder X-ray diffraction pattern is simulated, not measured: it uses a PBE-relaxed structure and Cu Kα (λ = 1.5418 Å).
Kinematic intensities with the Lorentz-polarization factor, no thermal factor.

Structural model:
a b c (Å): 5.0358 5.0358 9.2516
angles (deg): 90.00 90.00 120.00
Atoms (fractional coordinates):
Al 0.3333 0.6667 0.2500
Al 0.6667 0.3333 0.7500
In 0.0000 0.0000 0.0000
In 0.0000 0.0000 0.5000
Tc 0.3333 0.6667 0.7500
Tc 0.6667 0.3333 0.2500
O 0.0040 0.3615 0.1379
O 0.0040 0.6425 0.3621
O 0.3575 0.3615 0.3621
O 0.3575 0.9960 0.1379
O 0.3615 0.0040 0.6379
O 0.3615 0.3575 0.8621
O 0.6385 0.6425 0.1379
O 0.6385 0.9960 0.3621
O 0.6425 0.0040 0.8621
O 0.6425 0.6385 0.6379
O 0.9960 0.3575 0.6379
O 0.9960 0.6385 0.8621

Peak list (10 most intense, 2θ = 10–90°, in order of rising 2θ)
2θ 22.54, I = 20
2θ 28.12, I = 100
2θ 35.66, I = 37
2θ 46.02, I = 24
2θ 53.82, I = 40
2θ 59.54, I = 23
2θ 64.05, I = 25
2θ 75.52, I = 10
2θ 82.41, I = 9
2θ 86.41, I = 9